This entry pairs a crystal structure of Pr3AgSb2 with its theoretical powder X-ray diffraction pattern. Radiation: CuKα. Structure: a GGA-PBE-relaxed structure.
Intensities are scaled so that the largest is 100.

Principal peaks in the range 15 to 90 degrees two-theta, sorted by position:
- 27.81 deg, rel. 100, hkl 2 0 2
- 27.94 deg, rel. 50, hkl 0 2 0
- 39.61 deg, rel. 19, hkl 2 0 -4
- 39.83 deg, rel. 95, hkl 2 2 2
- 49.16 deg, rel. 21, hkl 2 2 -4
- 49.38 deg, rel. 20, hkl 6 2 0
- 65.07 deg, rel. 17, hkl 4 2 4
- 65.24 deg, rel. 25, hkl 2 4 2
- 72.01 deg, rel. 13, hkl 0 2 6
- 72.33 deg, rel. 18, hkl 2 4 -4

Lattice parameters (Å, degrees): 14.3125 6.3869 9.1019 90.00 108.54 90.00
Space group C2/c (No. 15)
Symmetry-distinct sites (fractional):
1 Pr 0.0000 0.0006 0.2500
2 Pr 0.1746 0.5000 0.0873
3 Ag 0.0000 0.4992 0.7500
4 Sb 0.1653 0.9999 0.0827